Record 1
This entry pairs a crystal structure of Ti3NbCu2P6O24 with its theoretical powder XRD pattern. Radiation: Cu Kα X-rays. Structure: a structure optimized by DFT (GGA-PBE).

Most intense lines, 10° ≤ 2θ ≤ 90°, by angle:
| 2θ/deg | I/Imax |
| --- | --- |
| 20.37 | 100 |
| 23.95 | 94 |
| 32.52 | 81 |
| 35.66 | 37 |
| 46.65 | 34 |
| 55.80 | 43 |

```
Ti3NbCu2P6O24
1.0
4.361 2.518 7.100
-4.361 2.518 7.100
0.000 -5.036 7.100
Ti Nb Cu P O
3 1 2 6 24
Direct
0.000 0.000 0.000
0.216 0.216 0.216
0.500 0.500 0.500
0.716 0.716 0.716
0.358 0.358 0.358
0.860 0.860 0.860
0.113 0.818 0.393
0.313 0.606 0.900
0.393 0.113 0.818
0.606 0.900 0.313
0.818 0.393 0.113
0.900 0.313 0.606
0.055 0.857 0.233
0.087 0.298 0.441
0.128 0.774 0.916
0.162 0.983 0.357
0.233 0.055 0.857
0.275 0.629 0.415
0.298 0.441 0.087
0.356 0.555 0.733
0.357 0.162 0.983
0.415 0.275 0.629
0.441 0.087 0.298
0.478 0.660 0.861
0.555 0.733 0.356
0.583 0.946 0.800
0.629 0.415 0.275
0.660 0.861 0.478
0.733 0.356 0.555
0.774 0.916 0.128
0.800 0.583 0.946
0.857 0.233 0.055
0.861 0.478 0.660
0.916 0.128 0.774
0.946 0.800 0.583
0.983 0.357 0.162
```



Record 2
This entry pairs a crystal structure of BiTePd with its theoretical powder XRD pattern. Radiation: Cu Kα X-rays. Structure: a structure optimized by DFT (GGA-PBE).

Most intense lines, 10° ≤ 2θ ≤ 90°, by angle:
| 2θ/deg | I/Imax |
| --- | --- |
| 29.56 | 100 |
| 32.46 | 70 |
| 44.47 | 56 |
| 48.58 | 21 |
| 50.54 | 42 |
| 63.05 | 23 |

```
BiTePd
1.0
6.757 0.000 0.000
0.000 6.757 0.000
0.000 0.000 6.757
Bi Te Pd
4 4 4
Direct
0.132 0.368 0.632
0.368 0.632 0.132
0.632 0.132 0.368
0.868 0.868 0.868
0.127 0.127 0.127
0.373 0.873 0.627
0.627 0.373 0.873
0.873 0.627 0.373
0.005 0.995 0.495
0.495 0.005 0.995
0.505 0.505 0.505
0.995 0.495 0.005
```



Record 3
This entry pairs a crystal structure of Ba14Na14LiN6 with its theoretical powder XRD pattern. Radiation: Cu Kα X-rays. Structure: a structure optimized by DFT (GGA-PBE).

Most intense lines, 10° ≤ 2θ ≤ 90°, by angle:
| 2θ/deg | I/Imax |
| --- | --- |
| 17.18 | 27 |
| 25.89 | 100 |
| 28.23 | 81 |
| 36.22 | 31 |
| 38.67 | 26 |
| 52.96 | 42 |

```
Ba14Na14LiN6
1.0
0.000 8.942 8.942
8.942 0.000 8.942
8.942 8.942 0.000
Ba Na Li N
14 14 1 6
Direct
0.190 0.603 0.603
0.213 0.213 0.787
0.213 0.787 0.213
0.213 0.787 0.787
0.397 0.397 0.397
0.397 0.397 0.810
0.397 0.810 0.397
0.603 0.190 0.603
0.603 0.603 0.190
0.603 0.603 0.603
0.787 0.213 0.213
0.787 0.213 0.787
0.787 0.787 0.213
0.810 0.397 0.397
0.000 0.000 0.500
0.000 0.500 0.000
0.000 0.500 0.500
0.171 0.171 0.171
0.171 0.171 0.487
0.171 0.487 0.171
0.487 0.171 0.171
0.500 0.000 0.000
0.500 0.000 0.500
0.500 0.500 0.000
0.513 0.829 0.829
0.829 0.513 0.829
0.829 0.829 0.513
0.829 0.829 0.829
0.500 0.500 0.500
0.353 0.353 0.647
0.353 0.647 0.353
0.353 0.647 0.647
0.647 0.353 0.353
0.647 0.353 0.647
0.647 0.647 0.353
```